Diffraction record for PrV3O9. The powder XRD pattern is simulated, not measured: it uses a DFT-relaxed cell (PBE+U, Alexandria) and Cu Kα, 1.54184 Å.
Peak positions follow from Bragg's law for the DFT cell and can differ from measured ones.

Crystal structure
abc: 7.596 7.596 7.826
angles: 90.00 90.00 106.32
Atoms (fractional coordinates):
1 Pr 0.109 0.109 0.000
2 Pr 0.891 0.891 0.500
3 V 0.251 0.251 0.500
4 V 0.297 0.656 0.968
5 V 0.344 0.703 0.532
6 V 0.656 0.297 0.032
7 V 0.703 0.344 0.468
8 V 0.749 0.749 0.000
9 O 0.121 0.157 0.673
10 O 0.157 0.121 0.327
11 O 0.176 0.809 0.991
12 O 0.186 0.441 0.034
13 O 0.191 0.824 0.509
14 O 0.256 0.478 0.436
15 O 0.358 0.642 0.750
16 O 0.441 0.186 0.966
17 O 0.478 0.256 0.564
18 O 0.522 0.744 0.064
19 O 0.559 0.814 0.466
20 O 0.642 0.358 0.250
21 O 0.744 0.522 0.936
22 O 0.809 0.176 0.009
23 O 0.814 0.559 0.534
24 O 0.824 0.191 0.491
25 O 0.843 0.879 0.827
26 O 0.879 0.843 0.173

Peak list (10 most intense, 15° ≤ 2θ ≤ 90°, by intensity)
22.73 deg, intensity 100
24.03 deg, intensity 81
26.98 deg, intensity 53
32.47 deg, intensity 39
46.47 deg, intensity 32
33.31 deg, intensity 31
42.62 deg, intensity 24
50.70 deg, intensity 23
37.40 deg, intensity 22
49.41 deg, intensity 20